This entry pairs a crystal structure of Pm2HoRh9 with its calculated X-ray powder pattern. Radiation: Cu Kα X-rays. Structure: a DFT-relaxed cell (PBE, Alexandria).

Peak list (8 most intense, 2θ = 5–70°, sorted by position)
d [Å], I (rel.), (hkl)
2.923, 28, 1 0 7
2.689, 30, 0 1 8
2.640, 35, 1 1 0
2.278, 35, 0 2 1
2.268, 100, 1 1 6
2.217, 20, 0 0 12
2.100, 27, 2 0 5
1.441, 23, 3 0 6

```
data_Pm2HoRh9
_cell_length_a 5.2792
_cell_length_b 5.2792
_cell_length_c 26.6057
_cell_angle_alpha 90.00
_cell_angle_beta 90.00
_cell_angle_gamma 120.00
_symmetry_space_group_name_H-M 'R -3 m'
_symmetry_Int_Tables_number 166
_symmetry_space_group_name_Hall '-R 3 2"'
loop_
_atom_site_label
_atom_site_type_symbol
_atom_site_fract_x
_atom_site_fract_y
_atom_site_fract_z
_atom_site_occupancy
Pm1 Pm 0.0000 0.0000 0.1386 1
Ho1 Ho 0.0000 0.0000 0.0000 1
Rh1 Rh 0.0000 0.0000 0.3328 1
Rh2 Rh 0.0000 0.0000 0.5000 1
Rh3 Rh 0.0006 0.5003 0.0814 1
```